# 1
For Nb12Ga3Ge, a DFT-relaxed cell (GGA-PBE, the Materials Project) gives the computed XRD peak list in this record (Cu Kα (λ = 1.5418 Å)).
Lines closer than 0.1° are merged.

Most intense lines, 10 to 80 degrees two-theta, in order of rising 2θ:
- 24.26°, intensity 2
- 34.58°, intensity 27
- 38.81°, intensity 100
- 42.69°, intensity 60
- 61.96°, intensity 10
- 64.79°, intensity 21
- 67.56°, intensity 29
- 72.90°, intensity 9
- 73.00°, intensity 4

Structure:
Cell: 5.188 5.192 10.368 Å, 90.00 90.00 90.00°
Fractional positions:
Nb1 0.000 0.000 0.124
Nb2 0.000 0.000 0.375
Nb3 0.000 0.000 0.625
Nb4 0.000 0.000 0.876
Nb5 0.251 0.500 0.000
Nb6 0.251 0.500 0.500
Nb7 0.500 0.250 0.250
Nb8 0.500 0.250 0.750
Nb9 0.500 0.750 0.250
Nb10 0.500 0.750 0.750
Nb11 0.749 0.500 0.000
Nb12 0.749 0.500 0.500
Ga1 0.000 0.500 0.250
Ga2 0.000 0.500 0.750
Ga3 0.500 0.000 0.000
Ge1 0.500 0.000 0.500

=====

# 2
For GaNi4Ge3, a DFT-relaxed cell (GGA-PBE, the Materials Project) gives the computed XRD peak list in this record (Cu Kα (λ = 1.5418 Å)).
Lines closer than 0.1° are merged.

Most intense lines, 10 to 80 degrees two-theta, in order of rising 2θ:
- 33.18°, intensity 20
- 38.36°, intensity 20
- 42.90°, intensity 100
- 43.29°, intensity 93
- 47.00°, intensity 26
- 47.54°, intensity 50
- 47.72°, intensity 26
- 75.09°, intensity 17
- 75.77°, intensity 16
- 76.18°, intensity 16

Structure:
Cell: 4.694 4.694 4.694 Å, 89.38 89.38 89.38°
Fractional positions:
Ga1 0.000 0.000 0.000
Ni1 0.016 0.518 0.793
Ni2 0.298 0.298 0.298
Ni3 0.518 0.793 0.016
Ni4 0.793 0.016 0.518
Ge1 0.311 0.817 0.499
Ge2 0.499 0.311 0.817
Ge3 0.817 0.499 0.311

=====

# 3
For GaNi4Ge3, a DFT-relaxed cell (GGA-PBE, the Materials Project) gives the computed XRD peak list in this record (Cu Kα (λ = 1.5418 Å)).
Lines closer than 0.1° are merged.

Most intense lines, 10 to 80 degrees two-theta, in order of rising 2θ:
- 24.57°, intensity 13
- 33.11°, intensity 14
- 33.46°, intensity 19
- 37.87°, intensity 12
- 43.42°, intensity 49
- 46.06°, intensity 67
- 46.40°, intensity 100
- 47.64°, intensity 39
- 66.42°, intensity 22
- 68.48°, intensity 15

Structure:
Cell: 3.818 11.503 4.964 Å, 90.00 90.00 90.00°
Fractional positions:
Ga1 0.000 0.186 0.000
Ga2 0.000 0.814 0.500
Ni1 0.000 0.004 0.737
Ni2 0.000 0.204 0.499
Ni3 0.000 0.796 0.999
Ni4 0.000 0.996 0.237
Ni5 0.500 0.299 0.221
Ni6 0.500 0.495 0.978
Ni7 0.500 0.505 0.478
Ni8 0.500 0.701 0.721
Ge1 0.000 0.427 0.245
Ge2 0.000 0.573 0.745
Ge3 0.500 0.072 0.470
Ge4 0.500 0.313 0.716
Ge5 0.500 0.687 0.216
Ge6 0.500 0.928 0.970

=====

# 4
For GaNi4Ge3, a DFT-relaxed cell (GGA-PBE, the Materials Project) gives the computed XRD peak list in this record (Cu Kα (λ = 1.5418 Å)).
Lines closer than 0.1° are merged.

Most intense lines, 10 to 80 degrees two-theta, in order of rising 2θ:
- 24.57°, intensity 21
- 33.21°, intensity 25
- 36.01°, intensity 27
- 43.43°, intensity 35
- 44.60°, intensity 20
- 46.28°, intensity 100
- 46.54°, intensity 62
- 47.28°, intensity 96
- 47.62°, intensity 62
- 66.40°, intensity 18

Structure:
Cell: 11.629 3.819 4.890 Å, 90.00 100.53 90.00°
Fractional positions:
Ga1 0.000 0.000 0.000
Ga2 0.500 0.500 0.000
Ni1 0.072 0.500 0.288
Ni2 0.072 0.500 0.786
Ni3 0.274 0.500 0.617
Ni4 0.366 0.000 0.955
Ni5 0.572 0.000 0.288
Ni6 0.572 0.000 0.786
Ni7 0.774 0.000 0.617
Ni8 0.866 0.500 0.955
Ge1 0.139 0.000 0.574
Ge2 0.257 0.500 0.109
Ge3 0.386 0.000 0.464
Ge4 0.639 0.500 0.574
Ge5 0.757 0.000 0.109
Ge6 0.886 0.500 0.464

=====

# 5
For GaGeO3, a DFT-relaxed cell (GGA-PBE, the Materials Project) gives the computed XRD peak list in this record (Cu Kα (λ = 1.5418 Å)).
Lines closer than 0.1° are merged.

Most intense lines, 10 to 80 degrees two-theta, in order of rising 2θ:
- 23.70°, intensity 3
- 33.77°, intensity 100
- 41.67°, intensity 4
- 48.50°, intensity 38
- 54.67°, intensity 1
- 60.40°, intensity 38
- 71.02°, intensity 22

Structure:
Cell: 3.754 3.754 3.754 Å, 90.00 90.00 90.00°
Fractional positions:
Ga1 0.000 0.000 0.000
Ge1 0.500 0.500 0.500
O1 0.000 0.500 0.500
O2 0.500 0.000 0.500
O3 0.500 0.500 0.000

=====

# 6
For PrGaGe2O7, a DFT-relaxed cell (GGA-PBE, the Materials Project) gives the computed XRD peak list in this record (Cu Kα (λ = 1.5418 Å)).
Lines closer than 0.1° are merged.

Most intense lines, 10 to 80 degrees two-theta, in order of rising 2θ:
- 27.25°, intensity 100
- 27.76°, intensity 14
- 29.36°, intensity 48
- 30.25°, intensity 25
- 30.88°, intensity 36
- 32.60°, intensity 22
- 35.53°, intensity 21
- 44.17°, intensity 16
- 47.23°, intensity 14
- 52.00°, intensity 14

Structure:
Cell: 7.396 6.683 13.080 Å, 90.00 117.67 90.00°
Fractional positions:
Pr1 0.239 0.146 0.475
Pr2 0.239 0.354 0.975
Pr3 0.761 0.646 0.025
Pr4 0.761 0.854 0.525
Ga1 0.215 0.101 0.731
Ga2 0.215 0.399 0.231
Ga3 0.785 0.601 0.769
Ga4 0.785 0.899 0.269
Ge1 0.213 0.659 0.453
Ge2 0.213 0.841 0.953
Ge3 0.300 0.589 0.718
Ge4 0.300 0.911 0.218
Ge5 0.700 0.089 0.782
Ge6 0.700 0.411 0.282
Ge7 0.787 0.159 0.047
Ge8 0.787 0.341 0.547
O1 0.010 0.662 0.919
O2 0.010 0.838 0.419
O3 0.156 0.688 0.185
O4 0.156 0.812 0.685
O5 0.203 0.051 0.869
O6 0.203 0.449 0.369
O7 0.224 0.109 0.279
O8 0.224 0.391 0.779
O9 0.249 0.503 0.574
O10 0.249 0.997 0.074
O11 0.408 0.676 0.977
O12 0.408 0.824 0.477
O13 0.433 0.127 0.696
O14 0.433 0.373 0.196
O15 0.567 0.627 0.804
O16 0.567 0.873 0.304
O17 0.592 0.176 0.523
O18 0.592 0.324 0.023
O19 0.751 0.003 0.926
O20 0.751 0.497 0.426
O21 0.776 0.609 0.221
O22 0.776 0.891 0.721
O23 0.797 0.551 0.631
O24 0.797 0.949 0.131
O25 0.844 0.188 0.315
O26 0.844 0.312 0.815
O27 0.990 0.162 0.581
O28 0.990 0.338 0.081